[1]
Simulated X-ray powder pattern of Fe3PtRh for Cu Kα, 1.54184 Å, from a crystal structure in Alexandria, relaxed with PBE.
Peak positions follow from Bragg's law for the DFT cell and can differ from measured ones.

Atomic structure:
```
Fe3PtRh
1.0
5.1175 0.0000 0.0000
0.0000 4.6279 0.0000
-1.6702 0.0000 11.3518
Fe Pt Rh
12 4 4
Direct
0.0936 0.1683 0.1534
0.0936 0.8317 0.6534
0.2059 0.3391 0.5523
0.2059 0.6609 0.0523
0.3953 0.3369 0.3462
0.3953 0.6631 0.8462
0.6047 0.3369 0.1538
0.6047 0.6631 0.6538
0.7941 0.3391 0.9477
0.7941 0.6609 0.4477
0.9064 0.1683 0.3466
0.9064 0.8317 0.8466
0.2924 0.1679 0.9544
0.2924 0.8321 0.4544
0.7076 0.1679 0.5456
0.7076 0.8321 0.0456
0.0000 0.3354 0.7500
0.0000 0.6646 0.2500
0.5000 0.1593 0.7500
0.5000 0.8407 0.2500
```

The 10 most intense peaks (2θ from 10° to 90°), sorted by position:
- 2θ 20.7, intensity 20
- 2θ 26.5, intensity 22
- 2θ 28.0, intensity 27
- 2θ 38.9, intensity 22
- 2θ 39.2, intensity 47
- 2θ 41.1, intensity 81
- 2θ 44.2, intensity 100
- 2θ 44.4, intensity 95
- 2θ 44.6, intensity 93
- 2θ 70.7, intensity 30

[2]
Simulated X-ray powder pattern of Fe6PtRh2 for Cu Kα, 1.54184 Å, from a crystal structure in Alexandria, relaxed with PBE.
Peak positions follow from Bragg's law for the DFT cell and can differ from measured ones.

Atomic structure:
```
Fe6PtRh2
1.0
-1.3194 3.6472 6.1939
1.3194 -3.6472 6.1939
1.3194 3.6472 -6.1939
Fe Pt Rh
6 1 2
Direct
0.0007 0.1723 0.8285
0.3246 0.0000 0.3246
0.3438 0.1723 0.1715
0.6562 0.8277 0.8285
0.6754 0.0000 0.6754
0.9993 0.8277 0.1715
0.0000 0.5000 0.5000
0.3494 0.3494 0.0000
0.6506 0.6506 0.0000
```

The 10 most intense peaks (2θ from 10° to 90°), sorted by position:
- 2θ 24.8, intensity 41
- 2θ 39.1, intensity 68
- 2θ 42.9, intensity 74
- 2θ 43.2, intensity 100
- 2θ 43.9, intensity 44
- 2θ 46.9, intensity 59
- 2θ 56.9, intensity 19
- 2θ 62.3, intensity 19
- 2θ 68.9, intensity 22
- 2θ 87.3, intensity 25

[3]
Simulated X-ray powder pattern of Fe2Pt3Rh5 for Cu Kα, 1.54184 Å, from a crystal structure in Alexandria, relaxed with PBE.
Peak positions follow from Bragg's law for the DFT cell and can differ from measured ones.

Atomic structure:
```
Fe2Pt3Rh5
1.0
4.6324 0.0000 0.0000
-2.2456 4.0523 0.0000
-0.5744 -1.1949 8.2789
Fe Pt Rh
2 3 5
Direct
0.1075 0.2405 0.2487
0.8925 0.7595 0.7513
0.0000 0.5000 0.0000
0.4319 0.8983 0.3308
0.5681 0.1017 0.6692
0.0000 0.0000 0.5000
0.2569 0.4709 0.7340
0.3360 0.1633 0.9797
0.6640 0.8367 0.0203
0.7431 0.5291 0.2660
```

The 10 most intense peaks (2θ from 10° to 90°), sorted by position:
- 2θ 23.2, intensity 82
- 2θ 32.4, intensity 89
- 2θ 39.6, intensity 90
- 2θ 39.8, intensity 71
- 2θ 40.0, intensity 53
- 2θ 42.0, intensity 100
- 2θ 43.6, intensity 39
- 2θ 46.3, intensity 50
- 2θ 46.8, intensity 86
- 2θ 47.0, intensity 60

[4]
Simulated X-ray powder pattern of FePt5Rh3 for Cu Kα, 1.54184 Å, from a crystal structure in Alexandria, relaxed with PBE.
Peak positions follow from Bragg's law for the DFT cell and can differ from measured ones.

Atomic structure:
```
FePt5Rh3
1.0
-3.2899 3.2899 6.7368
3.2899 -3.2899 6.7368
3.2899 3.2899 -6.7368
Fe Pt Rh
2 10 6
Direct
0.2500 0.7500 0.5000
0.7500 0.2500 0.5000
0.0000 0.0000 0.0000
0.0678 0.5678 0.9362
0.1316 0.0678 0.5000
0.3684 0.8684 0.9362
0.4322 0.3684 0.5000
0.5000 0.5000 0.0000
0.5678 0.6316 0.5000
0.6316 0.1316 0.0638
0.8684 0.9322 0.5000
0.9322 0.4322 0.0638
0.1225 0.3775 0.5000
0.2500 0.2500 0.0000
0.3775 0.8775 0.2551
0.6225 0.1225 0.7449
0.7500 0.7500 0.0000
0.8775 0.6225 0.5000
```

The 10 most intense peaks (2θ from 10° to 90°), sorted by position:
- 2θ 27.1, intensity 16
- 2θ 30.2, intensity 14
- 2θ 36.5, intensity 48
- 2θ 38.2, intensity 100
- 2θ 38.7, intensity 57
- 2θ 40.2, intensity 19
- 2θ 43.5, intensity 15
- 2θ 49.1, intensity 17
- 2θ 61.7, intensity 15
- 2θ 69.8, intensity 23

[5]
Simulated X-ray powder pattern of FeTcPt2Rh2 for Cu Kα, 1.54184 Å, from a crystal structure in Alexandria, relaxed with PBE.
Peak positions follow from Bragg's law for the DFT cell and can differ from measured ones.

Atomic structure:
```
FeTcPt2Rh2
1.0
4.3081 0.0000 0.0000
0.0000 5.3785 0.0000
0.0000 0.0000 7.5542
Fe Tc Pt Rh
2 2 4 4
Direct
0.2500 0.2500 0.0830
0.7500 0.7500 0.9170
0.2500 0.7500 0.0844
0.7500 0.2500 0.9156
0.2500 0.5009 0.7695
0.2500 0.9991 0.7695
0.7500 0.0009 0.2305
0.7500 0.4991 0.2305
0.2500 0.2500 0.4078
0.2500 0.7500 0.4116
0.7500 0.2500 0.5884
0.7500 0.7500 0.5922
```

The 10 most intense peaks (2θ from 10° to 90°), sorted by position:
- 2θ 23.8, intensity 21
- 2θ 41.2, intensity 45
- 2θ 41.3, intensity 100
- 2θ 41.5, intensity 79
- 2θ 41.9, intensity 41
- 2θ 59.8, intensity 16
- 2θ 60.3, intensity 29
- 2θ 75.5, intensity 16
- 2θ 76.2, intensity 17
- 2θ 84.8, intensity 20

[6]
Simulated X-ray powder pattern of V5Fe2Pt2Rh for Cu Kα, 1.54184 Å, from a crystal structure in Alexandria, relaxed with PBE.
Peak positions follow from Bragg's law for the DFT cell and can differ from measured ones.

Atomic structure:
```
V5Fe2Pt2Rh
1.0
9.7681 0.0000 0.0000
0.0000 9.7681 0.0000
0.0000 0.0000 2.8920
V Fe Pt Rh
10 4 4 2
Direct
0.0000 0.5000 0.0000
0.0761 0.2000 0.0000
0.2000 0.9239 0.0000
0.3000 0.4239 0.0000
0.4239 0.7000 0.0000
0.5000 0.0000 0.0000
0.5761 0.3000 0.0000
0.7000 0.5761 0.0000
0.8000 0.0761 0.0000
0.9239 0.8000 0.0000
0.1290 0.3710 0.5000
0.3710 0.8710 0.5000
0.6290 0.1290 0.5000
0.8710 0.6290 0.5000
0.1720 0.6720 0.5000
0.3280 0.1720 0.5000
0.6720 0.8280 0.5000
0.8280 0.3280 0.5000
0.0000 0.0000 0.5000
0.5000 0.5000 0.5000
```

The 10 most intense peaks (2θ from 10° to 90°), sorted by position:
- 2θ 20.3, intensity 30
- 2θ 28.9, intensity 35
- 2θ 30.9, intensity 18
- 2θ 37.3, intensity 42
- 2θ 38.0, intensity 63
- 2θ 39.1, intensity 26
- 2θ 40.7, intensity 19
- 2θ 41.3, intensity 21
- 2θ 42.8, intensity 100
- 2θ 65.8, intensity 17

[7]
Simulated X-ray powder pattern of Fe3RuPt12 for Cu Kα, 1.54184 Å, from a crystal structure in Alexandria, relaxed with PBE.
Peak positions follow from Bragg's law for the DFT cell and can differ from measured ones.

Atomic structure:
```
Fe3RuPt12
1.0
3.9297 0.0000 0.0000
0.0000 3.9297 0.0000
0.0000 0.0000 15.5864
Fe Ru Pt
3 1 12
Direct
0.0000 0.0000 0.0000
0.0000 0.0000 0.2485
0.0000 0.0000 0.7515
0.0000 0.0000 0.5000
0.0000 0.5000 0.1242
0.0000 0.5000 0.3725
0.0000 0.5000 0.6275
0.0000 0.5000 0.8758
0.5000 0.0000 0.1242
0.5000 0.0000 0.3725
0.5000 0.0000 0.6275
0.5000 0.0000 0.8758
0.5000 0.5000 0.0000
0.5000 0.5000 0.2484
0.5000 0.5000 0.5000
0.5000 0.5000 0.7516
```

The 10 most intense peaks (2θ from 10° to 90°), sorted by position:
- 2θ 22.6, intensity 7
- 2θ 32.4, intensity 6
- 2θ 39.8, intensity 100
- 2θ 46.2, intensity 33
- 2θ 46.6, intensity 16
- 2θ 67.4, intensity 11
- 2θ 67.7, intensity 21
- 2θ 81.3, intensity 26
- 2θ 81.9, intensity 12
- 2θ 85.9, intensity 11

[8]
Simulated X-ray powder pattern of ScFe4Pt for Cu Kα, 1.54184 Å, from a crystal structure in Alexandria, relaxed with PBE.
Peak positions follow from Bragg's law for the DFT cell and can differ from measured ones.

Atomic structure:
```
ScFe4Pt
1.0
0.0000 3.4433 3.4433
3.4433 0.0000 3.4433
3.4433 3.4433 0.0000
Sc Fe Pt
1 4 1
Direct
0.0000 0.0000 0.0000
0.3747 0.3747 0.3747
0.3747 0.3747 0.8760
0.3747 0.8760 0.3747
0.8760 0.3747 0.3747
0.7500 0.7500 0.7500
```

The 10 most intense peaks (2θ from 10° to 90°), sorted by position:
- 2θ 22.4, intensity 26
- 2θ 25.9, intensity 23
- 2θ 36.9, intensity 49
- 2θ 43.6, intensity 100
- 2θ 45.6, intensity 24
- 2θ 58.4, intensity 7
- 2θ 60.1, intensity 10
- 2θ 66.5, intensity 17
- 2θ 71.1, intensity 30
- 2θ 78.6, intensity 20

[9]
Simulated X-ray powder pattern of ScFePt for Cu Kα, 1.54184 Å, from a crystal structure in Alexandria, relaxed with PBE.
Peak positions follow from Bragg's law for the DFT cell and can differ from measured ones.

Atomic structure:
```
ScFePt
1.0
-1.4755 1.8219 4.4767
1.4755 -1.8219 4.4767
1.4755 1.8219 -4.4767
Sc Fe Pt
1 1 1
Direct
0.0000 0.0000 0.0000
0.3248 0.3248 0.0000
0.6740 0.6740 0.0000
```

The 10 most intense peaks (2θ from 10° to 90°), sorted by position:
- 2θ 19.8, intensity 68
- 2θ 26.4, intensity 59
- 2θ 31.9, intensity 37
- 2θ 39.0, intensity 100
- 2θ 39.3, intensity 99
- 2θ 43.1, intensity 75
- 2θ 44.4, intensity 37
- 2θ 68.2, intensity 37
- 2θ 76.1, intensity 26
- 2θ 76.6, intensity 27

[10]
Simulated X-ray powder pattern of Fe2PtSe for Cu Kα, 1.54184 Å, from a crystal structure in Alexandria, relaxed with PBE.
Peak positions follow from Bragg's law for the DFT cell and can differ from measured ones.

Atomic structure:
```
Fe2PtSe
1.0
-1.4608 2.2070 4.4863
1.4608 -2.2070 4.4863
1.4608 2.2070 -4.4863
Fe Pt Se
2 1 1
Direct
0.0000 0.0000 0.0000
0.7479 0.2479 0.5000
0.2700 0.7700 0.5000
0.5251 0.5251 0.0000
```

The 10 most intense peaks (2θ from 10° to 90°), sorted by position:
- 2θ 19.8, intensity 14
- 2θ 22.4, intensity 27
- 2θ 32.2, intensity 14
- 2θ 36.3, intensity 14
- 2θ 40.2, intensity 27
- 2θ 40.9, intensity 28
- 2θ 42.2, intensity 100
- 2θ 58.7, intensity 18
- 2θ 74.4, intensity 16
- 2θ 75.4, intensity 17

[11]
Simulated X-ray powder pattern of Fe2SiPt for Cu Kα, 1.54184 Å, from a crystal structure in Alexandria, relaxed with PBE.
Peak positions follow from Bragg's law for the DFT cell and can differ from measured ones.

Atomic structure:
```
Fe2SiPt
1.0
-1.9015 1.9015 3.5013
1.9015 -1.9015 3.5013
1.9015 1.9015 -3.5013
Fe Si Pt
2 1 1
Direct
0.0000 0.0000 0.0000
0.7500 0.2500 0.5000
0.2500 0.7500 0.5000
0.5000 0.5000 0.0000
```

The 10 most intense peaks (2θ from 10° to 90°), sorted by position:
- 2θ 25.4, intensity 22
- 2θ 26.7, intensity 54
- 2θ 33.3, intensity 23
- 2θ 42.4, intensity 100
- 2θ 45.6, intensity 14
- 2θ 47.8, intensity 35
- 2θ 52.3, intensity 13
- 2θ 55.6, intensity 16
- 2θ 73.5, intensity 19
- 2θ 85.3, intensity 26

[12]
Simulated X-ray powder pattern of Tb2FeSi3Pt4 for Cu Kα, 1.54184 Å, from a crystal structure in Alexandria, relaxed with PBE.
Peak positions follow from Bragg's law for the DFT cell and can differ from measured ones.

Atomic structure:
```
Tb2FeSi3Pt4
1.0
4.1754 0.0000 0.0000
0.0000 4.1754 0.0000
0.0000 0.0000 10.0427
Tb Fe Si Pt
2 1 3 4
Direct
0.0000 0.5000 0.2440
0.5000 0.0000 0.7560
0.5000 0.5000 0.0000
0.0000 0.0000 0.0000
0.0000 0.5000 0.6342
0.5000 0.0000 0.3658
0.0000 0.0000 0.5000
0.0000 0.5000 0.8679
0.5000 0.0000 0.1321
0.5000 0.5000 0.5000
```

The 10 most intense peaks (2θ from 10° to 90°), sorted by position:
- 2θ 26.6, intensity 26
- 2θ 27.8, intensity 24
- 2θ 31.6, intensity 54
- 2θ 34.3, intensity 53
- 2θ 35.3, intensity 100
- 2θ 43.3, intensity 62
- 2θ 47.5, intensity 22
- 2θ 50.4, intensity 25
- 2θ 56.4, intensity 26
- 2θ 74.3, intensity 23

[13]
Simulated X-ray powder pattern of YFeSiPt for Cu Kα, 1.54184 Å, from a crystal structure in Alexandria, relaxed with PBE.
Peak positions follow from Bragg's law for the DFT cell and can differ from measured ones.

Atomic structure:
```
YFeSiPt
1.0
2.5578 -3.3304 0.0000
2.5578 3.3304 0.0000
-1.6213 0.0000 4.0805
Y Fe Si Pt
1 1 1 1
Direct
0.0000 0.0000 0.0000
0.4546 0.5454 0.0000
0.3187 0.6813 0.5000
0.7004 0.2996 0.5000
```

The 10 most intense peaks (2θ from 10° to 90°), sorted by position:
- 2θ 23.0, intensity 50
- 2θ 26.6, intensity 71
- 2θ 34.8, intensity 100
- 2θ 36.5, intensity 31
- 2θ 37.8, intensity 48
- 2θ 44.4, intensity 30
- 2θ 45.1, intensity 33
- 2θ 45.4, intensity 47
- 2θ 46.8, intensity 26
- 2θ 58.6, intensity 22

[14]
Simulated X-ray powder pattern of Zn2FeSiPt for Cu Kα, 1.54184 Å, from a crystal structure in Alexandria, relaxed with PBE.
Peak positions follow from Bragg's law for the DFT cell and can differ from measured ones.

Atomic structure:
```
Zn2FeSiPt
1.0
4.4999 0.0000 0.0000
0.0000 4.4999 0.0000
0.0000 0.0000 4.2185
Zn Fe Si Pt
2 1 1 1
Direct
0.0000 0.5000 0.0000
0.5000 0.0000 0.0000
0.0000 0.0000 0.0000
0.0000 0.0000 0.5000
0.5000 0.5000 0.5000
```

The 10 most intense peaks (2θ from 10° to 90°), sorted by position:
- 2θ 19.7, intensity 22
- 2θ 29.0, intensity 89
- 2θ 35.3, intensity 100
- 2θ 40.1, intensity 68
- 2θ 42.9, intensity 28
- 2θ 50.2, intensity 39
- 2θ 58.0, intensity 22
- 2θ 60.1, intensity 40
- 2θ 69.7, intensity 27
- 2θ 74.7, intensity 21